Record 1
Computed PXRD pattern
Compound: RbSr2Nb3O10
Radiation: copper Kα
Structure: a cell relaxed with PBE
Neutral-atom scattering factors, no anomalous dispersion.

Peak list (10 most intense, 2θ = 10–90°, in order of rising 2θ)
d 3.151, rel. 100
d 2.819, rel. 48
d 2.773, rel. 16
d 2.206, rel. 10
d 1.993, rel. 32
d 1.930, rel. 10
d 1.737, rel. 13
d 1.684, rel. 31
d 1.479, rel. 10
d 1.409, rel. 9

Atomic structure:
Cell lengths 3.986, 3.986, 15.440 Å; angles 90.00, 90.00, 90.00 degrees
Positions (direct):
Rb 0.000 0.000 0.000
Sr 0.000 0.000 0.353
Sr 0.000 0.000 0.647
Nb 0.500 0.500 0.213
Nb 0.500 0.500 0.500
Nb 0.500 0.500 0.787
O 0.000 0.500 0.239
O 0.000 0.500 0.500
O 0.000 0.500 0.761
O 0.500 0.000 0.239
O 0.500 0.000 0.500
O 0.500 0.000 0.761
O 0.500 0.500 0.096
O 0.500 0.500 0.371
O 0.500 0.500 0.629
O 0.500 0.500 0.904



Record 2
Computed PXRD pattern
Compound: CsPbBr3
Radiation: copper Kα
Structure: a cell relaxed with PBE
Neutral-atom scattering factors, no anomalous dispersion.

Peak list (10 most intense, 2θ = 10–90°, in order of rising 2θ)
d 6.017, rel. 37
d 4.255, rel. 87
d 3.009, rel. 100
d 2.691, rel. 22
d 2.457, rel. 43
d 2.127, rel. 75
d 1.737, rel. 27
d 1.608, rel. 24
d 1.346, rel. 34
d 1.228, rel. 26

Atomic structure:
Cell lengths 6.017, 6.017, 6.017 Å; angles 90.00, 90.00, 90.00 degrees
Positions (direct):
Cs 0.000 0.000 0.000
Pb 0.500 0.500 0.500
Br 0.000 0.500 0.500
Br 0.500 0.000 0.500
Br 0.500 0.500 0.000



Record 3
Computed PXRD pattern
Compound: Ba2CuTe2F
Radiation: copper Kα
Structure: a cell relaxed with PBE
Neutral-atom scattering factors, no anomalous dispersion.

Peak list (10 most intense, 2θ = 10–90°, in order of rising 2θ)
d 4.073, rel. 16
d 3.895, rel. 100
d 2.815, rel. 25
d 2.754, rel. 40
d 2.282, rel. 14
d 2.228, rel. 30
d 1.948, rel. 14
d 1.934, rel. 20
d 1.742, rel. 20
d 1.466, rel. 16

Atomic structure:
Cell lengths 3.895, 3.895, 16.293 Å; angles 90.00, 90.00, 90.00 degrees
Positions (direct):
Ba 0.000 0.000 0.151
Ba 0.000 0.000 0.849
Cu 0.000 0.000 0.500
Te 0.000 0.000 0.351
Te 0.000 0.000 0.649
F 0.000 0.000 0.000



Record 4
Computed PXRD pattern
Compound: ScSnAu
Radiation: copper Kα
Structure: a cell relaxed with PBE
Neutral-atom scattering factors, no anomalous dispersion.

Peak list (10 most intense, 2θ = 10–90°, in order of rising 2θ)
d 3.765, rel. 81
d 3.261, rel. 1
d 2.306, rel. 100
d 1.966, rel. 43
d 1.630, rel. 17
d 1.496, rel. 18
d 1.331, rel. 35
d 1.255, rel. 14
d 1.153, rel. 12
d 1.102, rel. 15

Atomic structure:
Cell lengths 6.522, 6.522, 6.522 Å; angles 90.00, 90.00, 90.00 degrees
Positions (direct):
Sc 0.000 0.000 0.000
Sc 0.000 0.500 0.500
Sc 0.500 0.000 0.500
Sc 0.500 0.500 0.000
Sn 0.000 0.000 0.500
Sn 0.000 0.500 0.000
Sn 0.500 0.000 0.000
Sn 0.500 0.500 0.500
Au 0.250 0.250 0.250
Au 0.250 0.750 0.750
Au 0.750 0.250 0.750
Au 0.750 0.750 0.250



Record 5
Computed PXRD pattern
Compound: Sm2HgO4
Radiation: copper Kα
Structure: a cell relaxed with PBE
Neutral-atom scattering factors, no anomalous dispersion.

Peak list (10 most intense, 2θ = 10–90°, in order of rising 2θ)
d 3.529, rel. 44
d 3.155, rel. 57
d 2.957, rel. 68
d 2.916, rel. 61
d 2.815, rel. 100
d 2.584, rel. 66
d 2.371, rel. 46
d 1.796, rel. 51
d 1.737, rel. 45
d 1.592, rel. 49

Atomic structure:
Cell lengths 7.188, 7.188, 10.256 Å; angles 120.26, 120.26, 30.45 degrees
Positions (direct):
Sm 0.120 0.120 0.460
Sm 0.341 0.341 0.202
Sm 0.659 0.659 0.798
Sm 0.880 0.880 0.540
Hg 0.386 0.386 0.838
Hg 0.614 0.614 0.162
O 0.082 0.082 0.653
O 0.270 0.270 0.389
O 0.297 0.297 0.944
O 0.464 0.464 0.719
O 0.536 0.536 0.281
O 0.703 0.703 0.056
O 0.730 0.730 0.611
O 0.918 0.918 0.347